Theoretical powder diffraction line list
Compound: NbV5Re2
Radiation: Cu Kα, 1.54184 Å
Structure: a structure optimized by DFT (GGA-PBE)
No peak broadening, texture or thermal motion is included.

Cell lengths 5.1945, 4.3693, 10.2040 Å; angles 90.00, 95.86, 90.00 degrees
Space group P2/m (No. 10)
Symmetry-distinct sites (fractional):
Nb 0.0000 0.0000 0.0000 x1
Nb 0.5000 0.0000 0.5000 x1
V 0.0000 0.0000 0.5000 x1
V 0.1167 0.5000 0.8719 x2
V 0.1351 0.0000 0.2528 x2
V 0.2999 0.5000 0.3760 x2
V 0.3652 0.0000 0.7501 x2
V 0.5000 0.0000 0.0000 x1
Re 0.1933 0.5000 0.6243 x2
Re 0.3839 0.5000 0.1271 x2

Largest 6 diffraction maxima, most intense first, 2θ = 10–90°:
| hkl | 2theta | d/Å | I/Imax |
| --- | --- | --- | --- |
| 0 1 4 | 41.13 | 2.194 | 100 |
| 0 2 0 | 41.33 | 2.185 | 49 |
| 2 1 1 | 42.36 | 2.134 | 48 |
| 0 1 0 | 20.32 | 4.369 | 28 |
| 2 0 -3 | 41.77 | 2.163 | 24 |
| 1 1 2 | 33.09 | 2.707 | 22 |